Record 1
Diffraction record for Nd2TiPbO6. The powder diffraction line list is computed, not measured: it uses a GGA-PBE-relaxed structure and λ = 1.5418 Å (Cu Kα).
Lines closer than 0.1° are merged.

Atomic structure:
```
Nd2TiPbO6
1.0
5.512 0.000 0.000
0.000 5.512 0.000
0.000 0.000 5.544
Nd Ti Pb O
2 1 1 6
direct
0.000 0.500 0.000
0.500 0.000 0.000
0.000 0.000 0.631
0.500 0.500 0.552
0.000 0.000 0.302
0.229 0.229 0.768
0.229 0.771 0.768
0.500 0.500 0.130
0.771 0.229 0.768
0.771 0.771 0.768
```

Principal peaks in the range 10° ≤ 2θ ≤ 80°, low angle first:
(hkl), 2θ (°), Rel. int.
0 0 1, 16.0, 24
1 0 1, 22.7, 13
1 1 1, 28.0, 100
0 0 2, 32.3, 11
2 0 0, 32.5, 33
1 0 2, 36.3, 9
2 0 2, 46.5, 27
2 2 0, 46.6, 19
1 1 3, 55.0, 10
3 1 1, 55.2, 30
2 2 2, 57.8, 9
3 1 3, 74.9, 8

Record 2
Diffraction record for NdUPbO6. The powder diffraction line list is computed, not measured: it uses a GGA-PBE-relaxed structure and λ = 1.5418 Å (Cu Kα).
Lines closer than 0.1° are merged.

Atomic structure:
```
NdUPbO6
1.0
5.995 0.000 0.000
-2.998 5.192 0.000
0.000 0.000 4.826
Nd U Pb O
1 1 1 6
direct
0.000 0.000 0.000
0.333 0.667 0.000
0.667 0.333 0.500
0.038 0.368 0.225
0.038 0.670 0.775
0.330 0.368 0.775
0.330 0.962 0.225
0.632 0.670 0.225
0.632 0.962 0.775
```

Principal peaks in the range 10° ≤ 2θ ≤ 80°, low angle first:
(hkl), 2θ (°), Rel. int.
1 0 1, 25.2, 100
1 1 0, 29.8, 58
0 0 2, 37.3, 9
2 0 1, 39.4, 31
2 -1 2, 48.4, 42
3 -1 1, 50.2, 32
3 0 0, 52.9, 18
1 0 3, 60.2, 9
3 0 2, 66.5, 12
3 1 1, 67.9, 13
2 2 2, 74.5, 12
2 1 3, 76.6, 10